# 1
Computed PXRD pattern
Compound: Na6CdHg6
Radiation: a wavelength of 1.5418 Å
Structure: the PBE geometry in Alexandria
Peak positions follow from Bragg's law for the DFT cell and can differ from measured ones.

Structure:
```
13
Lattice="6.228 0.000 0.000 -3.114 5.394 0.000 0.000 0.000 10.912" Properties=species:S:1:pos:R:3 pbc="T T T"
Na 0.000 0.000 1.975
Na 0.000 0.000 8.936
Na 0.000 3.596 0.000
Na 0.000 3.596 5.456
Na 3.114 1.798 0.000
Na 3.114 1.798 5.456
Cd 0.000 0.000 5.456
Hg -1.557 2.697 2.748
Hg -1.557 2.697 8.163
Hg 3.114 0.000 2.748
Hg 3.114 0.000 8.163
Hg 1.557 2.697 2.748
Hg 1.557 2.697 8.163
```

The 10 most intense peaks (2θ = 10–90°), sorted by position:
two_theta	I (rel.)
16.25	774
16.44	176
23.19	379
32.83	281
33.19	1000
37.19	837
47.40	494
59.36	169
61.50	174
69.52	196

# 2
Computed PXRD pattern
Compound: Bi3AsI3
Radiation: a wavelength of 1.5418 Å
Structure: the PBE geometry in Alexandria
Peak positions follow from Bragg's law for the DFT cell and can differ from measured ones.

Structure:
```
14
Lattice="5.317 -8.777 0.000 5.317 8.777 0.000 0.000 0.000 6.635" Properties=species:S:1:pos:R:3 pbc="T T T"
Bi 5.317 7.064 4.976
Bi 3.771 2.147 4.976
Bi 3.771 -2.147 1.659
Bi 6.863 2.147 4.976
Bi 6.863 -2.147 1.659
Bi 5.317 -7.064 1.659
As 5.317 4.296 4.976
As 5.317 -4.296 1.659
I 5.317 7.108 1.659
I 3.159 1.710 1.659
I 3.159 -1.710 4.976
I 7.475 1.710 1.659
I 7.475 -1.710 4.976
I 5.317 -7.108 4.976
```

The 10 most intense peaks (2θ = 10–90°), sorted by position:
two_theta	I (rel.)
16.54	684
20.23	1000
25.64	927
26.88	964
33.87	560
36.01	536
37.48	694
37.87	375
41.14	302
45.50	558

# 3
Computed PXRD pattern
Compound: Nd2GaSi3
Radiation: a wavelength of 1.5418 Å
Structure: the PBE geometry in Alexandria
Peak positions follow from Bragg's law for the DFT cell and can differ from measured ones.

Structure:
```
12
Lattice="0.000 4.298 7.014 4.196 0.000 7.014 4.196 4.298 0.000" Properties=species:S:1:pos:R:3 pbc="T T T"
Nd 6.334 4.298 7.014
Nd 2.098 2.149 3.507
Nd 6.294 6.448 10.521
Nd 2.058 4.298 7.014
Ga 4.196 4.298 4.708
Ga 4.196 4.298 9.320
Si 4.196 4.298 2.287
Si 4.196 2.126 5.827
Si 4.196 2.126 8.201
Si 4.196 6.471 5.827
Si 4.196 6.471 8.201
Si 4.196 4.298 11.741
```

The 10 most intense peaks (2θ = 10–90°), sorted by position:
two_theta	I (rel.)
24.29	350
25.40	140
32.44	1000
33.30	495
42.04	183
43.12	170
44.09	320
54.65	238
61.79	115
63.37	214